[1]
# Li2Fe3SbO8
Computed X-ray powder pattern, λ = 1.5418 Å (Cu Kα). Input: DFT lattice parameters and positions (GGA+U).
Intensities are scaled so that the largest is 100.

Atomic structure:
```
Li2Fe3SbO8
1.0
6.0064 0.0000 0.0000
-3.0032 5.2017 0.0000
0.0000 0.0000 9.7789
Li Fe Sb O
4 6 2 16
direct
0.0000 0.0000 0.0000
0.0000 0.0000 0.5000
0.3333 0.6667 0.4142
0.6667 0.3333 0.9142
0.1703 0.3405 0.7246
0.1703 0.8297 0.7246
0.3405 0.1703 0.2246
0.6595 0.8297 0.7246
0.8297 0.1703 0.2246
0.8297 0.6595 0.2246
0.3333 0.6667 0.9976
0.6667 0.3333 0.4976
0.0000 0.0000 0.3138
0.0000 0.0000 0.8138
0.0367 0.5183 0.8585
0.1677 0.3355 0.1067
0.1677 0.8323 0.1067
0.3333 0.6667 0.6184
0.3355 0.1677 0.6067
0.4817 0.5183 0.8585
0.4817 0.9633 0.8585
0.5183 0.0367 0.3585
0.5183 0.4817 0.3585
0.6645 0.8323 0.1067
0.6667 0.3333 0.1184
0.8323 0.1677 0.6067
0.8323 0.6645 0.6067
0.9633 0.4817 0.3585
```

Peak list (10 most intense, 2θ from 10° to 90°, by angle)
d (Å)  Position (°2θ)  Rel. int.
4.592  19.3  100
3.563  25.0  32
2.762  32.4  37
2.559  35.1  51
2.513  35.7  31
2.296  39.2  15
2.033  44.6  31
1.684  54.5  20
1.563  59.1  28
1.502  61.8  25

***

[2]
# Li2Fe2SbO6
Computed X-ray powder pattern, λ = 1.5418 Å (Cu Kα). Input: DFT lattice parameters and positions (GGA+U).
Intensities are scaled so that the largest is 100.

Atomic structure:
```
Li2Fe2SbO6
1.0
4.5711 -2.6784 0.0000
4.5711 2.6784 0.0000
0.0000 0.0000 10.2301
Li Fe Sb O
4 4 2 12
direct
0.1353 0.3647 0.2500
0.3647 0.1353 0.7500
0.6353 0.8647 0.2500
0.8647 0.6353 0.7500
0.1573 0.1573 0.0000
0.3427 0.3427 0.5000
0.6573 0.6573 0.5000
0.8427 0.8427 0.0000
0.0000 0.0000 0.5000
0.5000 0.5000 0.0000
0.0120 0.3203 0.6083
0.1797 0.4880 0.8917
0.1864 0.8136 0.1043
0.3136 0.6864 0.6043
0.3203 0.0120 0.3917
0.4880 0.1797 0.1083
0.5120 0.8203 0.8917
0.6797 0.9880 0.6083
0.6864 0.3136 0.3957
0.8136 0.1864 0.8957
0.8203 0.5120 0.1083
0.9880 0.6797 0.3917
```

Peak list (10 most intense, 2θ from 10° to 90°, by angle)
d (Å)  Position (°2θ)  Rel. int.
5.115  17.3  100
4.212  21.1  14
2.678  33.5  11
2.563  35.0  48
2.373  37.9  22
2.092  43.3  38
1.850  49.3  15
1.619  56.9  19
1.523  60.8  22
1.279  74.1  8

***

[3]
# Li4Fe3Sb5O16
Computed X-ray powder pattern, λ = 1.5418 Å (Cu Kα). Input: DFT lattice parameters and positions (GGA+U).
Intensities are scaled so that the largest is 100.

Atomic structure:
```
Li4Fe3Sb5O16
1.0
5.4765 -3.1176 0.0000
5.4765 3.1176 0.0000
-0.0566 0.0000 10.3937
Li Fe Sb O
4 3 5 16
direct
0.0000 0.0000 0.0000
0.0047 0.0047 0.5125
0.3380 0.3380 0.6119
0.6788 0.6788 0.1020
0.1684 0.1684 0.2887
0.3332 0.8275 0.7883
0.8275 0.3332 0.7883
0.1685 0.6659 0.2861
0.3189 0.3189 0.9925
0.6540 0.6540 0.5250
0.6659 0.1685 0.2861
0.8283 0.8283 0.7843
0.0310 0.4962 0.1803
0.1437 0.6858 0.8943
0.1513 0.1513 0.9015
0.2948 0.8420 0.3961
0.3422 0.3422 0.3952
0.4939 0.4939 0.1830
0.4962 0.0310 0.1803
0.5179 0.9672 0.6702
0.5186 0.5186 0.6659
0.6750 0.6750 0.8936
0.6858 0.1437 0.8943
0.8420 0.2948 0.3961
0.8523 0.8523 0.3938
0.9672 0.5179 0.6702
0.9907 0.9907 0.6915
0.9948 0.9948 0.1814
```

Peak list (10 most intense, 2θ from 10° to 90°, by angle)
d (Å)  Position (°2θ)  Rel. int.
5.197  17.1  69
4.854  18.3  62
4.806  18.5  100
3.755  23.7  62
2.918  30.6  61
2.700  33.2  33
2.647  33.9  38
2.621  34.2  66
1.651  55.7  43
1.575  58.6  34

***

[4]
# Li4Fe3Sb5O16
Computed X-ray powder pattern, λ = 1.5418 Å (Cu Kα). Input: DFT lattice parameters and positions (GGA+U).
Intensities are scaled so that the largest is 100.

Atomic structure:
```
Li4Fe3Sb5O16
1.0
6.2345 0.0000 0.0000
-3.0134 5.4677 0.0000
-0.0465 -0.0858 10.3578
Li Fe Sb O
4 3 5 16
direct
0.0000 0.0000 0.0000
0.0051 0.0098 0.5109
0.3435 0.6781 0.6128
0.6813 0.3606 0.1060
0.1721 0.3402 0.2884
0.3350 0.1645 0.7875
0.8297 0.1651 0.7864
0.1718 0.8378 0.2860
0.3112 0.6395 0.9921
0.6521 0.3047 0.5217
0.6684 0.8362 0.2856
0.8280 0.6594 0.7829
0.0351 0.5367 0.1760
0.1364 0.8206 0.8952
0.1419 0.3044 0.9019
0.2997 0.1348 0.3997
0.3494 0.6937 0.3954
0.4928 0.9912 0.1838
0.5072 0.5336 0.1810
0.5277 0.4978 0.6692
0.5296 0.0391 0.6638
0.6868 0.3519 0.8923
0.6897 0.8394 0.8912
0.8349 0.1348 0.3965
0.8611 0.7100 0.3924
0.9722 0.4842 0.6731
0.9843 0.9829 0.6895
0.9941 0.9887 0.1813
```

Peak list (10 most intense, 2θ from 10° to 90°, by angle)
d (Å)  Position (°2θ)  Rel. int.
5.179  17.1  74
4.850  18.3  100
4.769  18.6  49
3.774  23.6  30
2.906  30.8  59
2.666  33.6  35
2.636  34.0  47
2.600  34.5  37
2.151  42.0  32
1.559  59.3  37

***

[5]
# Li6Fe5SbO12
Computed X-ray powder pattern, λ = 1.5418 Å (Cu Kα). Input: DFT lattice parameters and positions (GGA+U).
Intensities are scaled so that the largest is 100.

Atomic structure:
```
Li6Fe5SbO12
1.0
2.6478 -4.6046 0.0000
2.6478 4.6046 0.0000
-1.4256 0.0000 10.3774
Li Fe Sb O
6 5 1 12
direct
0.0524 0.3831 0.2160
0.2795 0.2795 0.7889
0.3831 0.0524 0.2160
0.6169 0.9476 0.7840
0.7205 0.7205 0.2111
0.9476 0.6169 0.7840
0.0000 0.0000 0.0000
0.1614 0.8386 0.5000
0.3303 0.6697 0.0000
0.6697 0.3303 0.0000
0.8386 0.1614 0.5000
0.5000 0.5000 0.5000
0.0271 0.6762 0.1127
0.1500 0.4690 0.3979
0.2115 0.2115 0.6072
0.3238 0.9729 0.8873
0.3672 0.3672 0.1082
0.4690 0.1500 0.3979
0.5310 0.8500 0.6021
0.6328 0.6328 0.8918
0.6762 0.0271 0.1127
0.7885 0.7885 0.3928
0.8500 0.5310 0.6021
0.9729 0.3238 0.8873
```

Peak list (10 most intense, 2θ from 10° to 90°, by angle)
d (Å)  Position (°2θ)  Rel. int.
5.189  17.1  100
2.611  34.4  17
2.526  35.5  24
2.481  36.2  12
2.222  40.6  11
2.177  41.5  23
2.037  44.5  18
1.691  54.2  10
1.582  58.3  10
1.530  60.5  12

***

[6]
# Li2Fe3SbO8
Computed X-ray powder pattern, λ = 1.5418 Å (Cu Kα). Input: DFT lattice parameters and positions (GGA+U).
Intensities are scaled so that the largest is 100.

Atomic structure:
```
Li2Fe3SbO8
1.0
5.2433 -3.0191 0.0000
5.2433 3.0191 0.0000
-3.4973 0.0000 5.0354
Li Fe Sb O
2 3 1 8
direct
0.1322 0.1322 0.3966
0.8678 0.8678 0.6034
0.0000 0.5000 0.0000
0.5000 0.0000 0.0000
0.5000 0.5000 0.0000
0.5000 0.5000 0.5000
0.2652 0.2652 0.2489
0.2653 0.7189 0.2496
0.2674 0.2674 0.8006
0.2811 0.7347 0.7504
0.7189 0.2653 0.2496
0.7326 0.7326 0.1994
0.7347 0.2811 0.7504
0.7348 0.7348 0.7511
```

Peak list (10 most intense, 2θ from 10° to 90°, by angle)
d (Å)  Position (°2θ)  Rel. int.
4.947  17.9  100
4.303  20.6  7
2.617  34.3  19
2.592  34.6  33
2.474  36.3  13
2.152  42.0  50
1.964  46.2  7
1.656  55.5  13
1.532  60.4  16
1.513  61.3  10

***

[7]
# Li4Fe5SbO12
Computed X-ray powder pattern, λ = 1.5418 Å (Cu Kα). Input: DFT lattice parameters and positions (GGA+U).
Intensities are scaled so that the largest is 100.

Atomic structure:
```
Li4Fe5SbO12
1.0
2.5937 -4.5062 0.0000
2.5937 4.5062 0.0000
-0.7730 0.0000 10.3906
Li Fe Sb O
4 5 1 12
direct
0.0265 0.3645 0.2139
0.3645 0.0265 0.2139
0.6355 0.9735 0.7861
0.9735 0.6355 0.7861
0.0000 0.0000 0.0000
0.1654 0.8346 0.5000
0.3368 0.6632 0.0000
0.6632 0.3368 0.0000
0.8346 0.1654 0.5000
0.5000 0.5000 0.5000
0.0273 0.6816 0.1082
0.1452 0.4852 0.4032
0.1725 0.1725 0.5934
0.3184 0.9727 0.8918
0.3365 0.3365 0.1077
0.4852 0.1452 0.4032
0.5148 0.8548 0.5968
0.6635 0.6635 0.8923
0.6816 0.0273 0.1082
0.8275 0.8275 0.4066
0.8548 0.5148 0.5968
0.9727 0.3184 0.8918
```

Peak list (10 most intense, 2θ from 10° to 90°, by angle)
d (Å)  Position (°2θ)  Rel. int.
5.195  17.1  100
2.543  35.3  15
2.498  35.9  18
2.387  37.7  9
2.250  40.1  10
2.116  42.7  18
2.042  44.4  16
1.653  55.6  8
1.594  57.8  9
1.494  62.1  9

***

[8]
# Li4Fe5Sb3O16
Computed X-ray powder pattern, λ = 1.5418 Å (Cu Kα). Input: DFT lattice parameters and positions (GGA+U).
Intensities are scaled so that the largest is 100.

Atomic structure:
```
Li4Fe5Sb3O16
1.0
5.3440 -3.0599 0.0000
5.3440 3.0599 0.0000
-0.1305 0.0000 9.8118
Li Fe Sb O
4 5 3 16
direct
0.0000 0.0000 0.0000
0.0015 0.0015 0.5113
0.3298 0.3298 0.6203
0.6665 0.6665 0.1060
0.1590 0.1590 0.2854
0.3150 0.3150 0.0012
0.3356 0.8178 0.7860
0.6459 0.6459 0.5150
0.8178 0.3356 0.7860
0.1610 0.6534 0.2859
0.6534 0.1610 0.2859
0.8203 0.8203 0.7890
0.0346 0.4880 0.1608
0.1459 0.6676 0.9048
0.1556 0.1556 0.9052
0.3013 0.8198 0.3987
0.3327 0.3327 0.4000
0.4781 0.4781 0.1653
0.4880 0.0346 0.1608
0.5082 0.5082 0.6738
0.5119 0.9607 0.6700
0.6617 0.6617 0.9010
0.6676 0.1459 0.9048
0.8198 0.3013 0.3987
0.8327 0.8327 0.3968
0.9607 0.5119 0.6700
0.9834 0.9834 0.1817
0.9882 0.9882 0.6952
```

Peak list (10 most intense, 2θ from 10° to 90°, by angle)
d (Å)  Position (°2θ)  Rel. int.
4.906  18.1  100
4.719  18.8  35
4.680  19.0  46
2.595  34.6  34
2.568  34.9  45
2.559  35.1  32
2.068  43.8  26
2.055  44.1  33
1.573  58.7  26
1.539  60.1  27

***

Copy entry 6 word for word.
# Li2Fe3SbO8
Computed X-ray powder pattern, λ = 1.5418 Å (Cu Kα). Input: DFT lattice parameters and positions (GGA+U).
Intensities are scaled so that the largest is 100.

Atomic structure:
```
Li2Fe3SbO8
1.0
5.2433 -3.0191 0.0000
5.2433 3.0191 0.0000
-3.4973 0.0000 5.0354
Li Fe Sb O
2 3 1 8
direct
0.1322 0.1322 0.3966
0.8678 0.8678 0.6034
0.0000 0.5000 0.0000
0.5000 0.0000 0.0000
0.5000 0.5000 0.0000
0.5000 0.5000 0.5000
0.2652 0.2652 0.2489
0.2653 0.7189 0.2496
0.2674 0.2674 0.8006
0.2811 0.7347 0.7504
0.7189 0.2653 0.2496
0.7326 0.7326 0.1994
0.7347 0.2811 0.7504
0.7348 0.7348 0.7511
```

Peak list (10 most intense, 2θ from 10° to 90°, by angle)
d (Å)  Position (°2θ)  Rel. int.
4.947  17.9  100
4.303  20.6  7
2.617  34.3  19
2.592  34.6  33
2.474  36.3  13
2.152  42.0  50
1.964  46.2  7
1.656  55.5  13
1.532  60.4  16
1.513  61.3  10